# 1
The following is a theoretical X-ray powder pattern of SmPuTe6. It was derived from a DFT-relaxed cell (PBE, Alexandria), using Cu Kα X-rays.
Intensities are scaled so that the largest is 100.

Principal peaks in the range 10° ≤ 2θ ≤ 90°, low angle first:
- 13.13 deg, I = 23.8, (0 0 4)
- 26.44 deg, I = 39.8, (0 0 8)
- 29.08 deg, I = 26.4, (1 1 1)
- 30.59 deg, I = 100.0, (1 1 3)
- 33.41 deg, I = 47.1, (1 1 5)
- 37.30 deg, I = 46.6, (1 1 7)
- 41.31 deg, I = 56.2, (2 0 0)
- 49.72 deg, I = 28.4, (2 0 8)
- 59.85 deg, I = 18.8, (2 2 0)
- 68.71 deg, I = 19.2, (3 1 3)

Structure:
a = 4.372 Å, b = 4.370 Å, c = 26.969 Å
α = 90.00°, β = 90.00°, γ = 90.00°
Space group Amm2 (No. 38)
Unique sites:
Sm: 0.000 0.000 0.000
Pu: 0.500 0.000 0.656
Te: 0.000 0.000 0.123
Te: 0.000 0.000 0.406
Te: 0.000 0.000 0.747
Te: 0.500 0.000 0.247
Te: 0.500 0.000 0.536
Te: 0.500 0.000 0.906

# 2
The following is a theoretical X-ray powder pattern of Cs3IrS4. It was derived from a DFT-relaxed cell (PBE, Alexandria), using Cu Kα X-rays.
Intensities are scaled so that the largest is 100.

Principal peaks in the range 10° ≤ 2θ ≤ 90°, low angle first:
- 21.81 deg, I = 44.7, (2 0 0)
- 25.41 deg, I = 100.0, (1 1 2)
- 31.03 deg, I = 37.4, (2 2 0)
- 40.53 deg, I = 48.3, (3 1 2)
- 46.79 deg, I = 12.4, (2 0 4)
- 50.05 deg, I = 13.6, (4 2 0)
- 51.90 deg, I = 17.6, (3 3 2)
- 52.19 deg, I = 16.8, (2 2 4)
- 61.72 deg, I = 18.1, (5 1 2)
- 66.53 deg, I = 11.7, (4 2 4)

Structure:
a = 8.150 Å, b = 8.150 Å, c = 8.832 Å
α = 90.00°, β = 90.00°, γ = 90.00°
Space group I4/mmm (No. 139)
Unique sites:
Cs: 0.000 0.000 0.000
Cs: 0.000 0.500 0.250
Ir: 0.000 0.000 0.500
S: 0.198 0.198 0.500